[1]
For BMoI2, a DFT-relaxed cell (PBE, Alexandria) gives the theoretical X-ray diffraction stick pattern in this record (Cu Kα, 1.54184 Å).
No peak broadening, texture or thermal motion is included.

Top 10 peaks for 15° ≤ 2θ ≤ 90°, in order of rising 2θ:
d 3.924, intensity 15; d 3.398, intensity 21; d 2.403, intensity 100; d 2.049, intensity 8; d 1.962, intensity 6; d 1.699, intensity 17; d 1.520, intensity 8; d 1.387, intensity 34; d 1.202, intensity 11; d 1.133, intensity 4

Structural model:
Lattice parameters (Å, degrees): 6.797 6.797 6.797 90.00 90.00 90.00
Space group Fm-3m (No. 225)
Asymmetric unit:
B  0.000  0.000  0.000
Mo  0.000  0.000  0.500
I  0.250  0.250  0.250

=====

[2]
For Nd3BI3, a DFT-relaxed cell (PBE, Alexandria) gives the theoretical X-ray diffraction stick pattern in this record (Cu Kα, 1.54184 Å).
No peak broadening, texture or thermal motion is included.

Top 10 peaks for 15° ≤ 2θ ≤ 90°, in order of rising 2θ:
d 4.966, intensity 9; d 3.251, intensity 57; d 3.041, intensity 100; d 2.593, intensity 33; d 2.150, intensity 65; d 1.756, intensity 20; d 1.655, intensity 26; d 1.545, intensity 20; d 1.360, intensity 19; d 1.241, intensity 12

Structural model:
Lattice parameters (Å, degrees): 12.163 12.163 12.163 90.00 90.00 90.00
Space group I4_132 (No. 214)
Asymmetric unit:
Nd  0.101  0.351  0.125
B  0.125  0.125  0.125
I  0.115  0.135  0.625

=====

[3]
For Nd9B2I14, a DFT-relaxed cell (PBE, Alexandria) gives the theoretical X-ray diffraction stick pattern in this record (Cu Kα, 1.54184 Å).
No peak broadening, texture or thermal motion is included.

Top 10 peaks for 15° ≤ 2θ ≤ 90°, in order of rising 2θ:
d 4.340, intensity 76; d 4.190, intensity 37; d 3.724, intensity 49; d 3.027, intensity 74; d 2.943, intensity 100; d 2.926, intensity 41; d 2.670, intensity 78; d 2.599, intensity 99; d 2.454, intensity 84; d 1.683, intensity 28

Structural model:
Lattice parameters (Å, degrees): 9.2487 9.2487 12.5713 90.00 90.00 120.00
Space group P-3 (No. 147)
Asymmetric unit:
Nd  0.0000  0.0000  0.0000
Nd  0.1102  0.3967  0.3346
Nd  0.3333  0.6667  0.0779
B  0.3333  0.6667  0.2728
I  0.0000  0.0000  0.2655
I  0.0406  0.6748  0.9034
I  0.0879  0.4048  0.6002